# 1
The following is a computed XRD peak list of NaCu3SnSe4. It was derived from the GGA-PBE geometry in the Materials Project, using Cu Kα X-rays.
Peak positions follow from Bragg's law for the DFT cell and can differ from measured ones.

Largest 8 diffraction maxima, by angle, 2θ from 10° to 90°:
2θ 14.54, rel. 56
2θ 25.32, rel. 67
2θ 32.87, rel. 18
2θ 41.94, rel. 100
2θ 44.62, rel. 15
2θ 49.63, rel. 29
2θ 60.82, rel. 16
2θ 76.62, rel. 31

Atomic structure:
```
NaCu3SnSe4
1.0
6.092 0.000 0.000
0.000 6.092 0.000
0.000 0.000 6.092
Na Cu Sn Se
1 3 1 4
Direct
0.000 0.000 0.000
0.000 0.500 0.500
0.500 0.000 0.500
0.500 0.500 0.000
0.500 0.500 0.500
0.262 0.262 0.738
0.262 0.738 0.262
0.738 0.262 0.262
0.738 0.738 0.738
```


# 2
The following is a computed XRD peak list of CeGaNi. It was derived from the GGA-PBE geometry in the Materials Project, using Cu Kα X-rays.
Peak positions follow from Bragg's law for the DFT cell and can differ from measured ones.

Largest 8 diffraction maxima, by angle, 2θ from 10° to 90°:
2θ 29.93, rel. 18
2θ 34.36, rel. 94
2θ 37.61, rel. 100
2θ 39.95, rel. 48
2θ 45.40, rel. 28
2θ 60.52, rel. 29
2θ 62.05, rel. 26
2θ 73.02, rel. 19

Atomic structure:
```
CeGaNi
1.0
6.894 0.000 0.000
-3.447 5.971 0.000
0.000 0.000 3.995
Ce Ga Ni
3 3 3
Direct
0.000 0.579 0.000
0.421 0.421 0.000
0.579 0.000 0.000
0.000 0.238 0.500
0.238 0.000 0.500
0.762 0.762 0.500
0.000 0.000 0.000
0.333 0.667 0.500
0.667 0.333 0.500
```


# 3
The following is a computed XRD peak list of Tb3CuSiSe7. It was derived from the GGA-PBE geometry in the Materials Project, using Cu Kα X-rays.
Peak positions follow from Bragg's law for the DFT cell and can differ from measured ones.

Largest 8 diffraction maxima, by angle, 2θ from 10° to 90°:
2θ 30.18, rel. 76
2θ 31.28, rel. 79
2θ 33.38, rel. 62
2θ 34.55, rel. 94
2θ 35.85, rel. 63
2θ 36.01, rel. 100
2θ 39.08, rel. 68
2θ 39.97, rel. 76

Atomic structure:
```
Tb3CuSiSe7
1.0
10.383 0.000 0.000
-5.192 8.992 0.000
0.000 0.000 6.032
Tb Cu Si Se
6 2 2 14
Direct
0.130 0.355 0.000
0.225 0.870 0.000
0.355 0.225 0.500
0.645 0.775 0.000
0.775 0.130 0.500
0.870 0.645 0.500
0.000 0.000 0.443
0.000 0.000 0.943
0.333 0.667 0.589
0.667 0.333 0.089
0.097 0.261 0.470
0.101 0.581 0.744
0.164 0.903 0.470
0.261 0.164 0.970
0.333 0.667 0.212
0.419 0.520 0.744
0.480 0.899 0.744
0.520 0.101 0.244
0.581 0.480 0.244
0.667 0.333 0.712
0.739 0.836 0.470
0.836 0.097 0.970
0.899 0.419 0.244
0.903 0.739 0.970
```


# 4
The following is a computed XRD peak list of Tb2SeO2. It was derived from the GGA-PBE geometry in the Materials Project, using Cu Kα X-rays.
Peak positions follow from Bragg's law for the DFT cell and can differ from measured ones.

Largest 8 diffraction maxima, by angle, 2θ from 10° to 90°:
2θ 24.22, rel. 12
2θ 31.98, rel. 100
2θ 32.87, rel. 40
2θ 44.53, rel. 16
2θ 47.17, rel. 20
2θ 56.42, rel. 23
2θ 58.12, rel. 36
2θ 77.97, rel. 11

Atomic structure:
```
Tb2SeO2
1.0
-1.927 1.927 6.108
1.927 -1.927 6.108
1.927 1.927 -6.108
Tb Se O
2 1 2
Direct
0.156 0.156 0.000
0.844 0.844 0.000
0.500 0.500 0.000
0.250 0.750 0.500
0.750 0.250 0.500
```